The following is a simulated powder XRD pattern of KCaBi. It was derived from a cell relaxed with PBE, using Cu Kα X-rays.
Lines closer than 0.1° are merged.

Principal peaks in the range 10 to 90 degrees two-theta, most intense first:
| d/Å | I/Imax |
| --- | --- |
| 4.578 | 1000 |
| 2.851 | 589 |
| 3.838 | 499 |
| 2.714 | 416 |
| 2.335 | 380 |
| 3.351 | 346 |

Crystal structure
```
KCaBi
1.0
5.4280 0.0000 0.0000
0.0000 5.4280 0.0000
0.0000 0.0000 8.5192
K Ca Bi
2 2 2
direct
0.2500 0.2500 0.1352
0.7500 0.7500 0.8648
0.2500 0.7500 0.5000
0.7500 0.2500 0.5000
0.2500 0.2500 0.7095
0.7500 0.7500 0.2905
```

---

The following is a simulated powder XRD pattern of CaAl2Si6O16. It was derived from a cell relaxed with PBE, using Cu Kα X-rays.
Lines closer than 0.1° are merged.

Principal peaks in the range 10 to 90 degrees two-theta, most intense first:
| d/Å | I/Imax |
| --- | --- |
| 4.291 | 1000 |
| 4.365 | 913 |
| 3.321 | 555 |
| 4.403 | 522 |
| 8.806 | 459 |
| 3.279 | 414 |

Crystal structure
```
CaAl2Si6O16
1.0
4.9872 0.0000 0.0000
0.2596 8.5822 0.0000
0.1170 0.1127 8.8061
Ca Al Si O
1 2 6 16
direct
0.0000 0.0000 0.0000
0.0199 0.8647 0.6770
0.7760 0.7090 0.1762
0.0669 0.2353 0.6680
0.2673 0.2035 0.3199
0.2821 0.8482 0.3349
0.5319 0.7373 0.8494
0.5822 0.3709 0.8282
0.7633 0.3426 0.1560
0.0118 0.2150 0.1990
0.0513 0.8306 0.2038
0.1517 0.2439 0.4885
0.1535 0.8417 0.5009
0.2341 0.8216 0.8353
0.3252 0.2756 0.7721
0.3920 0.0284 0.2993
0.4936 0.5473 0.8712
0.5033 0.3213 0.2690
0.5267 0.7259 0.3121
0.6696 0.8059 0.0037
0.6877 0.2760 0.9847
0.7200 0.7720 0.7048
0.8241 0.3640 0.7012
0.8718 0.5142 0.1526
0.9663 0.0665 0.7266
```

---

The following is a simulated powder XRD pattern of Mg3Ga7Co2. It was derived from a cell relaxed with PBE, using Cu Kα X-rays.
Lines closer than 0.1° are merged.

Principal peaks in the range 10 to 90 degrees two-theta, most intense first:
| d/Å | I/Imax |
| --- | --- |
| 4.712 | 1000 |
| 2.041 | 971 |
| 5.483 | 862 |
| 2.536 | 859 |
| 2.179 | 844 |
| 2.143 | 830 |

Crystal structure
```
Mg3Ga7Co2
1.0
4.5403 -4.7175 0.0000
4.5403 4.7175 0.0000
-0.5750 0.0000 9.4142
Mg Ga Co
6 14 4
direct
0.1478 0.8522 0.7500
0.2551 0.3603 0.6976
0.3603 0.2551 0.1976
0.6397 0.7449 0.8024
0.7449 0.6397 0.3024
0.8522 0.1478 0.2500
0.0544 0.1905 0.9741
0.1090 0.4449 0.3971
0.1905 0.0544 0.4741
0.2283 0.7717 0.2500
0.3068 0.5634 0.9815
0.4366 0.6932 0.5185
0.4449 0.1090 0.8971
0.5551 0.8910 0.1029
0.5634 0.3068 0.4815
0.6932 0.4366 0.0185
0.7717 0.2283 0.7500
0.8095 0.9456 0.5259
0.8910 0.5551 0.6029
0.9456 0.8095 0.0259
0.0313 0.4841 0.1450
0.4841 0.0313 0.6450
0.5159 0.9687 0.3550
0.9687 0.5159 0.8550
```

---

The following is a simulated powder XRD pattern of Zn4CoSe5. It was derived from a cell relaxed with PBE, using Cu Kα X-rays.
Lines closer than 0.1° are merged.

Principal peaks in the range 10 to 90 degrees two-theta, most intense first:
| d/Å | I/Imax |
| --- | --- |
| 3.296 | 1000 |
| 2.017 | 608 |
| 1.720 | 220 |
| 1.723 | 217 |
| 2.024 | 124 |
| 1.164 | 115 |

Crystal structure
```
Zn4CoSe5
1.0
6.6823 -2.0236 0.0000
6.6823 2.0236 0.0000
-4.8523 0.0000 8.5981
Zn Co Se
4 1 5
direct
0.0000 0.0000 0.0000
0.1987 0.1987 0.8022
0.3974 0.3974 0.5963
0.5971 0.5971 0.3970
0.7982 0.7982 0.1993
0.2026 0.2026 0.0558
0.3988 0.3988 0.8485
0.5985 0.5985 0.6488
0.7968 0.7968 0.4417
0.9933 0.9933 0.2470
```